This entry pairs a crystal structure of Y2TcB6 with its theoretical X-ray diffraction stick pattern. Radiation: Cu Kα, 1.54184 Å. Structure: the PBE geometry in OQMD.
Lines closer than 0.1° are merged.

Most intense lines, 2θ from 10° to 90°, by angle:
| 2θ/deg | intensity |
| --- | --- |
| 24.14 | 100 |
| 30.28 | 69 |
| 32.52 | 34 |
| 39.10 | 95 |
| 39.66 | 31 |
| 40.91 | 47 |
| 41.44 | 37 |
| 49.45 | 32 |

Cell: 9.170 11.547 3.686 Å, 90.00 90.00 90.00°
Fractional positions:
Y 0.057 0.131 0.000
Y 0.176 0.414 0.000
Y 0.324 0.914 0.000
Y 0.443 0.631 0.000
Y 0.557 0.369 0.000
Y 0.676 0.086 0.000
Y 0.824 0.586 0.000
Y 0.943 0.869 0.000
Tc 0.139 0.679 0.000
Tc 0.361 0.179 0.000
Tc 0.639 0.821 0.000
Tc 0.861 0.321 0.000
B 0.017 0.288 0.500
B 0.053 0.567 0.500
B 0.101 0.972 0.500
B 0.131 0.814 0.500
B 0.208 0.235 0.500
B 0.249 0.581 0.500
B 0.251 0.081 0.500
B 0.292 0.735 0.500
B 0.369 0.314 0.500
B 0.399 0.472 0.500
B 0.447 0.067 0.500
B 0.483 0.788 0.500
B 0.517 0.212 0.500
B 0.553 0.933 0.500
B 0.601 0.528 0.500
B 0.631 0.686 0.500
B 0.708 0.265 0.500
B 0.749 0.919 0.500
B 0.751 0.419 0.500
B 0.792 0.765 0.500
B 0.869 0.186 0.500
B 0.899 0.028 0.500
B 0.947 0.433 0.500
B 0.983 0.712 0.500

This entry pairs a crystal structure of RbTcAgSe3 with its theoretical X-ray diffraction stick pattern. Radiation: Cu Kα, 1.54184 Å. Structure: the PBE geometry in OQMD.
Lines closer than 0.1° are merged.

Most intense lines, 2θ from 10° to 90°, by angle:
| 2θ/deg | intensity |
| --- | --- |
| 10.29 | 61 |
| 31.19 | 100 |
| 33.76 | 29 |
| 34.48 | 24 |
| 35.91 | 22 |
| 43.00 | 24 |
| 45.98 | 25 |
| 47.23 | 27 |

Cell: 13.795 3.849 11.000 Å, 90.00 90.00 90.00°
Fractional positions:
Rb 0.139 0.250 0.037
Rb 0.361 0.750 0.537
Rb 0.639 0.250 0.463
Rb 0.861 0.750 0.963
Tc 0.026 0.750 0.595
Tc 0.474 0.250 0.095
Tc 0.526 0.750 0.905
Tc 0.974 0.250 0.405
Ag 0.226 0.750 0.277
Ag 0.274 0.250 0.777
Ag 0.726 0.750 0.223
Ag 0.774 0.250 0.723
Se 0.042 0.750 0.264
Se 0.126 0.250 0.512
Se 0.148 0.750 0.777
Se 0.352 0.250 0.277
Se 0.374 0.750 0.012
Se 0.458 0.250 0.764
Se 0.542 0.750 0.236
Se 0.626 0.250 0.988
Se 0.648 0.750 0.723
Se 0.852 0.250 0.223
Se 0.874 0.750 0.488
Se 0.958 0.250 0.736

This entry pairs a crystal structure of LaYCd6 with its theoretical X-ray diffraction stick pattern. Radiation: Cu Kα, 1.54184 Å. Structure: the PBE geometry in OQMD.
Lines closer than 0.1° are merged.

Most intense lines, 2θ from 10° to 90°, by angle:
| 2θ/deg | intensity |
| --- | --- |
| 29.57 | 13 |
| 32.41 | 19 |
| 32.85 | 12 |
| 34.88 | 100 |
| 36.65 | 29 |
| 37.36 | 25 |
| 49.72 | 11 |
| 64.86 | 16 |

Cell: 4.904 6.599 6.599 Å, 66.29 90.00 90.00°
Fractional positions:
La 0.000 0.000 0.000
Y 0.500 0.724 0.724
Cd 0.000 0.055 0.483
Cd 0.000 0.483 0.055
Cd 0.000 0.539 0.539
Cd 0.500 0.195 0.195
Cd 0.500 0.244 0.666
Cd 0.500 0.666 0.244

This entry pairs a crystal structure of ScZnInTe3 with its theoretical X-ray diffraction stick pattern. Radiation: Cu Kα, 1.54184 Å. Structure: the PBE geometry in OQMD.
Lines closer than 0.1° are merged.

Most intense lines, 2θ from 10° to 90°, by angle:
| 2θ/deg | intensity |
| --- | --- |
| 26.74 | 37 |
| 28.44 | 33 |
| 28.70 | 100 |
| 31.97 | 46 |
| 32.17 | 26 |
| 32.70 | 26 |
| 42.92 | 28 |
| 49.70 | 30 |

Cell: 11.128 4.214 15.199 Å, 90.00 90.00 90.00°
Fractional positions:
Sc 0.016 0.250 0.247
Sc 0.484 0.750 0.747
Sc 0.516 0.250 0.253
Sc 0.984 0.750 0.753
Zn 0.241 0.250 0.716
Zn 0.259 0.750 0.216
Zn 0.741 0.250 0.784
Zn 0.759 0.750 0.284
In 0.231 0.750 0.509
In 0.269 0.250 0.009
In 0.731 0.750 0.991
In 0.769 0.250 0.491
Te 0.040 0.250 0.621
Te 0.066 0.750 0.115
Te 0.237 0.750 0.826
Te 0.263 0.250 0.326
Te 0.434 0.250 0.615
Te 0.460 0.750 0.121
Te 0.540 0.250 0.879
Te 0.566 0.750 0.385
Te 0.737 0.750 0.674
Te 0.763 0.250 0.174
Te 0.934 0.250 0.885
Te 0.960 0.750 0.379